K4PrRe3O12: simulated PXRD pattern (λ = 1.5418 Å (Cu Kα)), based on a DFT-relaxed cell (GGA-PBE, Alexandria).
No peak broadening, texture or thermal motion is included.

Unit cell a=7.1245 b=7.1245 c=7.1245 alpha=109.47 beta=109.47 gamma=109.47
Fractional coordinates of all 20 atoms:
K: 0.0000 0.0000 0.5000
K: 0.0000 0.5000 0.0000
K: 0.5000 0.0000 0.0000
K: 0.5000 0.5000 0.5000
Pr: 0.0000 0.0000 0.0000
Re: 0.0000 0.5000 0.5000
Re: 0.5000 0.0000 0.5000
Re: 0.5000 0.5000 0.0000
O: 0.0000 0.2754 0.2754
O: 0.0000 0.7246 0.7246
O: 0.2500 0.5000 0.7500
O: 0.2500 0.7500 0.5000
O: 0.2754 0.0000 0.2754
O: 0.2754 0.2754 0.0000
O: 0.5000 0.2500 0.7500
O: 0.5000 0.7500 0.2500
O: 0.7246 0.0000 0.7246
O: 0.7246 0.7246 0.0000
O: 0.7500 0.2500 0.5000
O: 0.7500 0.5000 0.2500

Top 10 peaks for 10° ≤ 2θ ≤ 90°, by angle:
21.60 deg, d = 4.113 Å, I 68; 30.74 deg, d = 2.909 Å, I 100; 37.89 deg, d = 2.375 Å, I 7; 44.03 deg, d = 2.057 Å, I 32; 49.55 deg, d = 1.840 Å, I 30; 54.66 deg, d = 1.679 Å, I 39; 64.02 deg, d = 1.454 Å, I 19; 68.42 deg, d = 1.371 Å, I 14; 72.69 deg, d = 1.301 Å, I 17; 89.06 deg, d = 1.099 Å, I 21


KPrRu2O8: simulated PXRD pattern (λ = 1.5418 Å (Cu Kα)), based on a DFT-relaxed cell (GGA-PBE, Alexandria).
No peak broadening, texture or thermal motion is included.

Unit cell a=6.0585 b=6.0585 c=7.7980 alpha=90.00 beta=90.00 gamma=120.00
Fractional coordinates of all 12 atoms:
K: 0.0000 0.0000 0.0000
Pr: 0.0000 0.0000 0.5000
Ru: 0.3333 0.6667 0.7778
Ru: 0.6667 0.3333 0.2222
O: 0.1685 0.3439 0.6967
O: 0.1754 0.8315 0.6967
O: 0.3333 0.6667 0.0019
O: 0.3439 0.1754 0.3033
O: 0.6561 0.8246 0.6967
O: 0.6667 0.3333 0.9981
O: 0.8246 0.1685 0.3033
O: 0.8315 0.6561 0.3033

Top 10 peaks for 10° ≤ 2θ ≤ 90°, by angle:
20.40 deg, d = 4.353 Å, I 100; 28.52 deg, d = 3.130 Å, I 45; 29.49 deg, d = 3.029 Å, I 48; 38.66 deg, d = 2.329 Å, I 10; 41.49 deg, d = 2.177 Å, I 25; 47.30 deg, d = 1.922 Å, I 20; 51.72 deg, d = 1.768 Å, I 16; 52.31 deg, d = 1.749 Å, I 9; 56.10 deg, d = 1.639 Å, I 13; 61.19 deg, d = 1.515 Å, I 9


KPr2SiO5: simulated PXRD pattern (λ = 1.5418 Å (Cu Kα)), based on a DFT-relaxed cell (GGA-PBE, Alexandria).
No peak broadening, texture or thermal motion is included.

Unit cell a=6.9501 b=6.9501 c=5.4929 alpha=90.00 beta=90.00 gamma=90.00
Fractional coordinates of all 18 atoms:
K: 0.0000 0.0000 0.0000
K: 0.5000 0.5000 0.0000
Pr: 0.1796 0.3204 0.5000
Pr: 0.3204 0.8204 0.5000
Pr: 0.6796 0.1796 0.5000
Pr: 0.8204 0.6796 0.5000
Si: 0.0000 0.5000 0.0000
Si: 0.5000 0.0000 0.0000
O: 0.0000 0.0000 0.5000
O: 0.1231 0.6231 0.2294
O: 0.1231 0.6231 0.7706
O: 0.3769 0.1231 0.2294
O: 0.3769 0.1231 0.7706
O: 0.5000 0.5000 0.5000
O: 0.6231 0.8769 0.2294
O: 0.6231 0.8769 0.7706
O: 0.8769 0.3769 0.2294
O: 0.8769 0.3769 0.7706

Top 10 peaks for 10° ≤ 2θ ≤ 90°, by angle:
16.14 deg, d = 5.493 Å, I 82; 28.72 deg, d = 3.108 Å, I 39; 30.44 deg, d = 2.937 Å, I 81; 32.60 deg, d = 2.746 Å, I 29; 33.12 deg, d = 2.705 Å, I 100; 41.07 deg, d = 2.198 Å, I 20; 44.00 deg, d = 2.058 Å, I 63; 49.80 deg, d = 1.831 Å, I 20; 57.16 deg, d = 1.611 Å, I 32; 64.91 deg, d = 1.437 Å, I 21


KPrSnO3: simulated PXRD pattern (λ = 1.5418 Å (Cu Kα)), based on a DFT-relaxed cell (GGA-PBE, Alexandria).
No peak broadening, texture or thermal motion is included.

Unit cell a=7.1929 b=3.5922 c=10.2693 alpha=90.00 beta=92.35 gamma=90.00
Fractional coordinates of all 12 atoms:
K: 0.1789 0.2500 0.2640
K: 0.8211 0.7500 0.7360
Pr: 0.3672 0.2500 0.6170
Pr: 0.6328 0.7500 0.3830
Sn: 0.2606 0.7500 0.9002
Sn: 0.7394 0.2500 0.0998
O: 0.1371 0.2500 0.7972
O: 0.3270 0.7500 0.4652
O: 0.4599 0.7500 0.7631
O: 0.5401 0.2500 0.2369
O: 0.6730 0.2500 0.5348
O: 0.8629 0.7500 0.2028

Top 10 peaks for 10° ≤ 2θ ≤ 90°, by angle:
12.32 deg, d = 7.187 Å, I 44; 15.34 deg, d = 5.776 Å, I 100; 26.62 deg, d = 3.349 Å, I 30; 28.44 deg, d = 3.139 Å, I 44; 28.97 deg, d = 3.083 Å, I 54; 29.33 deg, d = 3.045 Å, I 30; 30.38 deg, d = 2.943 Å, I 67; 33.17 deg, d = 2.701 Å, I 35; 36.19 deg, d = 2.482 Å, I 23; 53.41 deg, d = 1.715 Å, I 22


KPrTeO4: simulated PXRD pattern (λ = 1.5418 Å (Cu Kα)), based on a DFT-relaxed cell (GGA-PBE, Alexandria).
No peak broadening, texture or thermal motion is included.

Unit cell a=5.9903 b=6.0661 c=8.1749 alpha=90.00 beta=110.18 gamma=90.00
Fractional coordinates of all 14 atoms:
K: 0.0585 0.2500 0.1475
K: 0.9415 0.7500 0.8525
Pr: 0.1856 0.7500 0.4647
Pr: 0.8144 0.2500 0.5353
Te: 0.4099 0.2500 0.7573
Te: 0.5901 0.7500 0.2427
O: 0.1662 0.0078 0.6825
O: 0.1662 0.4922 0.6825
O: 0.2301 0.7500 0.1866
O: 0.3997 0.2500 0.5152
O: 0.6003 0.7500 0.4848
O: 0.7699 0.2500 0.8134
O: 0.8338 0.5078 0.3175
O: 0.8338 0.9922 0.3175

Top 10 peaks for 10° ≤ 2θ ≤ 90°, by angle:
11.53 deg, d = 7.673 Å, I 100; 18.65 deg, d = 4.759 Å, I 78; 27.01 deg, d = 3.301 Å, I 94; 27.46 deg, d = 3.248 Å, I 93; 29.45 deg, d = 3.033 Å, I 60; 29.84 deg, d = 2.994 Å, I 37; 35.16 deg, d = 2.552 Å, I 44; 36.35 deg, d = 2.472 Å, I 31; 42.42 deg, d = 2.131 Å, I 38; 51.02 deg, d = 1.790 Å, I 31


K4Pr3TiO8: simulated PXRD pattern (λ = 1.5418 Å (Cu Kα)), based on a DFT-relaxed cell (GGA-PBE, Alexandria).
No peak broadening, texture or thermal motion is included.

Unit cell a=7.1076 b=7.1076 c=7.4924 alpha=118.28 beta=118.28 gamma=59.87
Fractional coordinates of all 16 atoms:
K: 0.0000 0.0000 0.0000
K: 0.0000 0.5000 0.0000
K: 0.5000 0.0000 0.0000
K: 0.5000 0.5000 0.0000
Pr: 0.0000 0.0000 0.5000
Pr: 0.0000 0.5000 0.5000
Pr: 0.5000 0.0000 0.5000
Ti: 0.5000 0.5000 0.5000
O: 0.2328 0.2328 0.6993
O: 0.2602 0.7105 0.6802
O: 0.2793 0.2793 0.3096
O: 0.2895 0.7398 0.3198
O: 0.7105 0.2602 0.6802
O: 0.7207 0.7207 0.6904
O: 0.7398 0.2895 0.3198
O: 0.7672 0.7672 0.3007

Top 10 peaks for 10° ≤ 2θ ≤ 90°, by angle:
14.12 deg, d = 6.273 Å, I 69; 28.46 deg, d = 3.137 Å, I 30; 29.42 deg, d = 3.036 Å, I 23; 30.58 deg, d = 2.923 Å, I 65; 34.85 deg, d = 2.574 Å, I 100; 44.77 deg, d = 2.024 Å, I 15; 48.73 deg, d = 1.869 Å, I 32; 51.42 deg, d = 1.777 Å, I 21; 57.40 deg, d = 1.605 Å, I 15; 59.82 deg, d = 1.546 Å, I 15


K2Pr2TiO6: simulated PXRD pattern (λ = 1.5418 Å (Cu Kα)), based on a DFT-relaxed cell (GGA-PBE, Alexandria).
No peak broadening, texture or thermal motion is included.

Unit cell a=5.9620 b=5.9620 c=6.6022 alpha=97.33 beta=97.33 gamma=119.24
Fractional coordinates of all 11 atoms:
K: 0.1551 0.8449 0.0000
K: 0.8449 0.1551 0.0000
Pr: 0.3353 0.6647 0.5000
Pr: 0.6647 0.3353 0.5000
Ti: 0.0000 0.0000 0.5000
O: 0.0431 0.3382 0.6703
O: 0.2295 0.2295 0.3263
O: 0.3382 0.0431 0.6703
O: 0.6618 0.9569 0.3297
O: 0.7705 0.7705 0.6737
O: 0.9569 0.6618 0.3297

Top 10 peaks for 10° ≤ 2θ ≤ 90°, by angle:
13.86 deg, d = 6.389 Å, I 100; 19.81 deg, d = 4.482 Å, I 17; 27.93 deg, d = 3.194 Å, I 27; 30.26 deg, d = 2.954 Å, I 29; 30.64 deg, d = 2.918 Å, I 18; 31.68 deg, d = 2.824 Å, I 31; 35.04 deg, d = 2.561 Å, I 56; 36.08 deg, d = 2.489 Å, I 26; 49.45 deg, d = 1.843 Å, I 16; 52.85 deg, d = 1.732 Å, I 15


Which formula does entry 5 have? KPrTeO4